# 1
Starting from a crystal structure in the Materials Project, relaxed with PBE, the powder diffraction line list of Mg16Al12Se was simulated for Cu Ka.
No peak broadening, texture or thermal motion is included.

Structural model:
a b c (Å): 14.7530 14.7530 9.3318
angles (deg): 90.00 90.00 120.00
Space group R3m (No. 160, hexagonal axes)
Unique sites:
1 Mg 0.0000 0.0000 0.0000 x3
2 Mg 0.0157 0.3056 0.3363 x18
3 Mg 0.0675 0.5337 0.2505 x9
4 Mg 0.1969 0.0985 0.5380 x9
5 Mg 0.2180 0.4361 0.8101 x9
6 Al 0.9998 0.1879 0.8527 x18
7 Al 0.0631 0.1262 0.3184 x9
8 Al 0.0807 0.5403 0.7572 x9
9 Se 0.0000 0.0000 0.6565 x3

Main lines, sorted by position (2θ = 5–70°):
| hkl | 2θ/deg | I_rel |
| --- | --- | --- |
| 1 1 0 | 12.00 | 20 |
| 0 4 2 | 34.01 | 19 |
| 0 3 3 | 35.75 | 97 |
| 2 3 2 | 36.19 | 100 |
| 0 5 1 | 36.50 | 90 |
| 1 0 4 | 39.26 | 17 |
| 5 0 2 | 40.24 | 20 |
| 5 1 1 | 40.48 | 38 |
| 4 3 1 | 44.23 | 17 |
| 3 6 3 | 65.27 | 17 |


# 2
Starting from a crystal structure in the Materials Project, relaxed with PBE, the powder diffraction line list of Mg2Al3Si6 was simulated for Cu Ka.
No peak broadening, texture or thermal motion is included.

Structural model:
a b c (Å): 14.9255 3.8459 6.5287
angles (deg): 90.00 103.76 90.00
Space group C2/m (No. 12)
Unique sites:
1 Mg 0.1726 0.0000 0.4274 x4
2 Al 0.0000 0.0000 0.5000 x2
3 Al 0.0893 0.0000 0.9467 x4
4 Si 0.0344 0.5000 0.2130 x4
5 Si 0.1642 0.5000 0.7543 x4
6 Si 0.2052 0.5000 0.1475 x4

Main lines, sorted by position (2θ = 5–70°):
| hkl | 2θ/deg | I_rel |
| --- | --- | --- |
| 0 0 1 | 13.97 | 8 |
| 1 1 2 | 38.42 | 98 |
| 5 1 -1 | 38.79 | 100 |
| 5 1 0 | 38.90 | 12 |
| 6 0 1 | 43.12 | 24 |
| 4 0 -3 | 44.17 | 32 |
| 0 2 0 | 47.27 | 33 |
| 10 0 -2 | 63.96 | 8 |
| 6 2 1 | 65.89 | 13 |
| 4 2 -3 | 66.68 | 18 |


# 3
Starting from a crystal structure in the Materials Project, relaxed with PBE, the powder diffraction line list of Mg2Al3Si6 was simulated for Cu Ka.
No peak broadening, texture or thermal motion is included.

Structural model:
a b c (Å): 15.8730 3.6342 6.7218
angles (deg): 90.00 91.01 90.00
Space group C2/m (No. 12)
Unique sites:
1 Mg 0.1703 0.0000 0.4860 x4
2 Al 0.0000 0.0000 0.5000 x2
3 Al 0.0715 0.0000 0.8856 x4
4 Si 0.0461 0.5000 0.2424 x4
5 Si 0.1942 0.5000 0.1562 x4
6 Si 0.2006 0.5000 0.7959 x4

Main lines, sorted by position (2θ = 5–70°):
| hkl | 2θ/deg | I_rel |
| --- | --- | --- |
| 3 1 1 | 32.86 | 100 |
| 6 0 1 | 36.76 | 41 |
| 1 1 2 | 36.94 | 98 |
| 5 1 0 | 37.63 | 25 |
| 5 1 -1 | 39.85 | 98 |
| 3 1 -2 | 40.15 | 24 |
| 0 0 3 | 40.26 | 50 |
| 8 0 0 | 45.74 | 27 |
| 5 1 2 | 46.93 | 46 |
| 0 2 0 | 50.21 | 51 |


# 4
Starting from a crystal structure in the Materials Project, relaxed with PBE, the powder diffraction line list of Mg4AlSi3 was simulated for Cu Ka.
No peak broadening, texture or thermal motion is included.

Structural model:
a b c (Å): 6.5593 6.5593 13.8206
angles (deg): 90.00 90.00 90.00
Space group P4/ncc (No. 130, origin choice 2)
Unique sites:
1 Mg 0.0662 0.5945 0.0971 x16
2 Al 0.2500 0.2500 0.2187 x4
3 Si 0.1173 0.6173 0.7500 x8
4 Si 0.2500 0.2500 0.0162 x4

Main lines, sorted by position (2θ = 5–70°):
| hkl | 2θ/deg | I_rel |
| --- | --- | --- |
| 1 1 4 | 32.31 | 7 |
| 2 1 2 | 33.18 | 7 |
| 2 1 3 | 36.31 | 100 |
| 2 0 4 | 37.82 | 22 |
| 2 2 0 | 38.83 | 10 |
| 0 0 6 | 39.11 | 14 |
| 3 1 0 | 43.64 | 40 |
| 1 1 6 | 43.89 | 8 |
| 4 1 3 | 61.68 | 10 |
| 2 1 9 | 69.03 | 10 |


# 5
Starting from a crystal structure in the Materials Project, relaxed with PBE, the powder diffraction line list of Mg17Al11Si was simulated for Cu Ka.
No peak broadening, texture or thermal motion is included.

Structural model:
a b c (Å): 10.5278 14.8907 9.0793
angles (deg): 90.00 125.20 90.00
Space group Cm (No. 8)
Unique sites:
1 Mg 0.0000 0.0000 0.0000 x2
2 Mg 0.0005 0.0000 0.6569 x2
3 Mg 0.0557 0.3421 0.0543 x4
4 Mg 0.1563 0.5000 0.3121 x2
5 Mg 0.1585 0.1568 0.2601 x4
6 Mg 0.1745 0.1723 0.6573 x4
7 Mg 0.1859 0.5000 0.9434 x2
8 Mg 0.3035 0.3012 0.9743 x4
9 Mg 0.3971 0.0000 0.3734 x2
10 Mg 0.4613 0.1433 0.6588 x4
11 Mg 0.4860 0.1989 0.3411 x4
12 Al 0.0032 0.1830 0.8431 x4
13 Al 0.2249 0.4099 0.6562 x4
14 Al 0.2743 0.0921 0.0214 x4
15 Al 0.3187 0.3169 0.4727 x4
16 Al 0.3639 0.0000 0.8277 x2
17 Al 0.4130 0.4084 0.2936 x4
18 Si 0.1852 0.0000 0.4742 x2

Main lines, sorted by position (2θ = 5–70°):
| hkl | 2θ/deg | I_rel |
| --- | --- | --- |
| 4 0 -2 | 34.10 | 9 |
| 1 5 1 | 36.21 | 100 |
| 1 3 -3 | 36.31 | 38 |
| 2 6 -1 | 40.18 | 29 |
| 2 0 -4 | 40.35 | 10 |
| 4 0 0 | 42.05 | 11 |
| 4 4 -3 | 43.85 | 13 |
| 1 1 3 | 43.96 | 7 |
| 2 8 2 | 65.10 | 17 |
| 1 5 4 | 65.21 | 14 |


# 6
Starting from a crystal structure in the Materials Project, relaxed with PBE, the powder diffraction line list of Mg16Al12Si was simulated for Cu Ka.
No peak broadening, texture or thermal motion is included.

Structural model:
a b c (Å): 14.7878 14.7878 9.1709
angles (deg): 90.00 90.00 120.00
Space group R3m (No. 160, hexagonal axes)
Unique sites:
1 Mg 0.0000 0.0000 0.0000 x3
2 Mg 0.0134 0.3060 0.2989 x18
3 Mg 0.0656 0.5328 0.2110 x9
4 Mg 0.1934 0.0967 0.5068 x9
5 Mg 0.2173 0.4345 0.7756 x9
6 Al 0.9995 0.1838 0.8109 x18
7 Al 0.0629 0.1258 0.2905 x9
8 Al 0.0819 0.5409 0.7221 x9
9 Si 0.0000 0.0000 0.6981 x3

Main lines, sorted by position (2θ = 5–70°):
| hkl | 2θ/deg | I_rel |
| --- | --- | --- |
| 0 4 2 | 34.16 | 27 |
| 3 0 3 | 36.14 | 84 |
| 2 3 2 | 36.32 | 91 |
| 0 5 1 | 36.43 | 100 |
| 1 0 4 | 39.95 | 23 |
| 5 0 2 | 40.39 | 69 |
| 0 2 4 | 41.85 | 14 |
| 4 1 3 | 43.90 | 19 |
| 3 5 4 | 65.24 | 23 |
| 1 8 2 | 65.56 | 16 |


# 7
Starting from a crystal structure in the Materials Project, relaxed with PBE, the powder diffraction line list of Mg4AlSi6 was simulated for Cu Ka.
No peak broadening, texture or thermal motion is included.

Structural model:
a b c (Å): 16.3467 3.6757 6.7346
angles (deg): 90.00 92.09 90.00
Space group C2/m (No. 12)
Unique sites:
1 Mg 0.0801 0.0000 0.4060 x4
2 Mg 0.1677 0.0000 0.9900 x4
3 Al 0.0000 0.0000 0.0000 x2
4 Si 0.0512 0.5000 0.7554 x4
5 Si 0.1911 0.5000 0.6558 x4
6 Si 0.2118 0.5000 0.2896 x4

Main lines, sorted by position (2θ = 5–70°):
| hkl | 2θ/deg | I_rel |
| --- | --- | --- |
| 3 1 1 | 32.51 | 81 |
| 4 0 -2 | 33.89 | 21 |
| 6 0 1 | 36.03 | 21 |
| 1 1 -2 | 36.47 | 19 |
| 1 1 2 | 36.78 | 100 |
| 5 1 -1 | 38.89 | 57 |
| 0 0 3 | 40.20 | 26 |
| 8 0 1 | 46.95 | 22 |
| 7 1 -1 | 47.68 | 23 |
| 0 2 0 | 49.60 | 40 |


# 8
Starting from a crystal structure in the Materials Project, relaxed with PBE, the powder diffraction line list of SmMg16Al12 was simulated for Cu Ka.
No peak broadening, texture or thermal motion is included.

Structural model:
a b c (Å): 10.5549 10.5549 10.5549
angles (deg): 90.00 90.00 90.00
Space group I-43m (No. 217)
Unique sites:
1 Sm 0.0000 0.0000 0.0000 x2
2 Mg 0.0390 0.3585 0.6415 x24
3 Mg 0.1799 0.1799 0.1799 x8
4 Al 0.0911 0.0911 0.7215 x24

Main lines, sorted by position (2θ = 5–70°):
| hkl | 2θ/deg | I_rel |
| --- | --- | --- |
| 1 1 0 | 11.86 | 38 |
| 2 1 1 | 20.61 | 18 |
| 3 1 0 | 26.71 | 12 |
| 3 2 1 | 31.72 | 21 |
| 3 3 0 | 36.10 | 100 |
| 3 3 2 | 40.07 | 21 |
| 4 2 2 | 41.93 | 16 |
| 5 2 1 | 47.16 | 9 |
| 5 5 0 | 62.19 | 14 |
| 7 2 1 | 64.92 | 28 |